# 1
Simulated powder diffractogram of ThMgZn2 for copper Kα, from a structure optimized by DFT (PBE).
Peak positions follow from Bragg's law for the DFT cell and can differ from measured ones.

Crystal structure
```
ThMgZn2
1.0
7.028 0.000 0.000
0.000 7.028 0.000
0.000 0.000 7.028
Th Mg Zn
4 4 8
direct
0.000 0.000 0.000 Th
0.000 0.500 0.500 Th
0.500 0.000 0.500 Th
0.500 0.500 0.000 Th
0.000 0.000 0.500 Mg
0.000 0.500 0.000 Mg
0.500 0.000 0.000 Mg
0.500 0.500 0.500 Mg
0.250 0.250 0.250 Zn
0.250 0.250 0.750 Zn
0.250 0.750 0.250 Zn
0.250 0.750 0.750 Zn
0.750 0.250 0.250 Zn
0.750 0.250 0.750 Zn
0.750 0.750 0.250 Zn
0.750 0.750 0.750 Zn
```

Principal peaks in the range 10 to 90 degrees two-theta, by angle:
| Position (°2θ) | d_spacing | I (rel.) |
| --- | --- | --- |
| 21.9 | 4.058 | 58 |
| 36.1 | 2.485 | 100 |
| 42.7 | 2.119 | 32 |
| 52.1 | 1.757 | 18 |
| 57.1 | 1.612 | 14 |
| 65.0 | 1.435 | 36 |
| 69.5 | 1.353 | 11 |
| 76.7 | 1.242 | 11 |
| 80.9 | 1.188 | 11 |
| 87.9 | 1.111 | 16 |

# 2
Simulated powder diffractogram of MgTi for copper Kα, from a structure optimized by DFT (PBE).
Peak positions follow from Bragg's law for the DFT cell and can differ from measured ones.

Crystal structure
```
MgTi
1.0
3.356 0.000 0.000
0.000 3.356 0.000
0.000 0.000 3.356
Mg Ti
1 1
direct
0.000 0.000 0.000 Mg
0.500 0.500 0.500 Ti
```

Principal peaks in the range 10 to 90 degrees two-theta, by angle:
| Position (°2θ) | d_spacing | I (rel.) |
| --- | --- | --- |
| 26.6 | 3.356 | 12 |
| 37.9 | 2.373 | 100 |
| 46.9 | 1.938 | 3 |
| 54.7 | 1.678 | 16 |
| 61.8 | 1.501 | 3 |
| 68.5 | 1.370 | 30 |
| 81.0 | 1.187 | 9 |
| 87.1 | 1.119 | 1 |

# 3
Simulated powder diffractogram of MgTi for copper Kα, from a structure optimized by DFT (PBE).
Peak positions follow from Bragg's law for the DFT cell and can differ from measured ones.

Crystal structure
```
MgTi
1.0
11.362 0.000 0.000
0.000 2.968 0.000
-1.888 0.000 6.953
Mg Ti
6 6
direct
0.000 0.000 0.000 Mg
0.058 0.000 0.599 Mg
0.328 0.000 0.656 Mg
0.500 0.500 0.000 Mg
0.558 0.500 0.599 Mg
0.828 0.500 0.656 Mg
0.178 0.500 0.319 Ti
0.227 0.500 0.964 Ti
0.376 0.000 0.260 Ti
0.678 0.000 0.319 Ti
0.727 0.000 0.964 Ti
0.876 0.500 0.260 Ti
```

Principal peaks in the range 10 to 90 degrees two-theta, by angle:
| Position (°2θ) | d_spacing | I (rel.) |
| --- | --- | --- |
| 12.7 | 6.953 | 49 |
| 16.2 | 5.483 | 25 |
| 34.0 | 2.640 | 22 |
| 34.7 | 2.587 | 45 |
| 36.0 | 2.494 | 75 |
| 38.3 | 2.349 | 43 |
| 38.9 | 2.318 | 48 |
| 39.1 | 2.304 | 100 |
| 39.4 | 2.289 | 82 |
| 61.2 | 1.514 | 27 |